Structure and computed powder diffractogram of Hg2Sb2Pb15 (a cell relaxed with GGA-PBE; a wavelength of 1.5418 Å).
Intensities are scaled so that the largest is 100.

Cell and atoms:
Cell: 10.5129 10.5129 20.0054 Å, 90.00 90.00 120.00°
Space group R-3m (No. 166, hexagonal axes)
Asymmetric unit:
Hg 0.0000 0.0000 0.0961
Sb 0.0000 0.0000 0.3742
Pb 0.0000 0.3004 0.0000
Pb 0.0000 0.5000 0.5000
Pb 0.0382 0.5191 0.1205

Principal peaks in the range 10 to 90 degrees two-theta, by angle:
(1 1 0), d 5.256, 2θ = 16.87°, I = 20; (0 2 4), d 3.367, 2θ = 26.48°, I = 51; (3 0 0), d 3.035, 2θ = 29.43°, I = 24; (2 0 5), d 3.005, 2θ = 29.73°, I = 87; (1 1 6), d 2.816, 2θ = 31.78°, I = 42; (0 3 3), d 2.762, 2θ = 32.41°, I = 100; (2 2 0), d 2.628, 2θ = 34.11°, I = 46; (2 2 3), d 2.445, 2θ = 36.75°, I = 79; (0 0 9), d 2.221, 2θ = 40.63°, I = 29; (2 0 8), d 2.192, 2θ = 41.19°, I = 29; (0 4 8), d 1.683, 2θ = 54.52°, I = 25; (6 0 0), d 1.517, 2θ = 61.07°, I = 22